Starting from a DFT-relaxed cell (PBE, OQMD), the X-ray powder pattern of La2P2IrOsS2 was calculated for Cu Ka.
Neutral-atom scattering factors, no anomalous dispersion.

Structure:
```
data_La2P2IrOsS2
_chemical_formula_sum 'La2 P2 Ir1 Os1 S2'
_cell_length_a 4.187
_cell_length_b 4.187
_cell_length_c 9.265
_cell_angle_alpha 90.00
_cell_angle_beta 90.00
_cell_angle_gamma 90.00
_symmetry_space_group_name_H-M 'P -4 m 2'
_symmetry_Int_Tables_number 115
_symmetry_space_group_name_Hall 'P -4 -2'
loop_
_atom_site_label
_atom_site_fract_x
_atom_site_fract_y
_atom_site_fract_z
_atom_site_occupancy
La1 0.000 0.500 0.198 1
P1 0.000 0.500 0.629 1
Ir1 0.000 0.000 0.500 1
Os1 0.500 0.500 0.500 1
S1 0.000 0.000 0.000 1
S2 0.500 0.500 0.000 1
```

Peak list (6 most intense, 5° ≤ 2θ ≤ 70°, sorted by position)
- 2θ 9.55, rel. 84, (0 0 1)
- 2θ 23.32, rel. 32, (1 0 1)
- 2θ 28.91, rel. 24, (0 0 3)
- 2θ 31.73, rel. 40, (1 1 1)
- 2θ 36.00, rel. 100, (1 1 2)
- 2θ 43.22, rel. 41, (2 0 0)